[1]
# CeCu5S6
Calculated powder diffraction line list, λ = 1.5418 Å (Cu Kα). Input: a DFT-relaxed cell (PBE, Alexandria).

Structure:
```
12
Lattice="3.302 -5.252 0.000 3.302 5.252 0.000 -2.541 0.000 5.957" Properties=species:S:1:pos:R:3 pbc="T T T"
Ce 0.000 0.000 0.000
Cu 2.031 3.485 2.978
Cu 3.302 1.503 0.000
Cu 2.031 0.000 2.978
Cu 3.302 -1.503 0.000
Cu 2.031 -3.485 2.978
S 1.569 1.763 1.457
S -0.410 0.000 4.239
S 1.569 -1.763 1.457
S 2.493 1.763 4.500
S 4.472 0.000 1.718
S 2.493 -1.763 4.500
```

Principal peaks in the range 15° ≤ 2θ ≤ 90°, sorted by position:
Position (°2θ), intensity
29.42, 33
30.33, 31
32.83, 57
35.75, 100
48.93, 26
49.71, 36



[2]
# Y2TlFe2
Calculated powder diffraction line list, λ = 1.5418 Å (Cu Kα). Input: a DFT-relaxed cell (PBE, Alexandria).

Structure:
```
5
Lattice="3.767 0.000 0.000 0.000 4.126 0.000 -1.845 0.000 6.821" Properties=species:S:1:pos:R:3 pbc="T T T"
Y 0.016 0.000 1.893
Y 1.906 0.000 4.928
Tl 1.884 2.063 0.000
Fe 0.020 2.063 3.913
Fe 1.902 2.063 2.908
```

Principal peaks in the range 15° ≤ 2θ ≤ 90°, sorted by position:
Position (°2θ), intensity
30.73, 20
30.91, 19
32.86, 100
34.11, 75
43.89, 23
60.60, 19



[3]
# NbAuS
Calculated powder diffraction line list, λ = 1.5418 Å (Cu Kα). Input: a DFT-relaxed cell (PBE, Alexandria).

Structure:
```
12
Lattice="7.240 -2.301 0.000 7.240 2.301 0.000 -0.594 0.000 6.936" Properties=species:S:1:pos:R:3 pbc="T T T"
Nb 2.181 0.000 0.925
Nb 2.160 0.000 3.763
Nb 11.726 0.000 3.172
Nb 11.705 0.000 6.011
Au 0.014 0.000 5.614
Au 6.016 0.000 4.586
Au 7.870 0.000 2.350
Au 13.872 0.000 1.322
S 3.477 0.000 6.091
S 4.236 0.000 2.389
S 9.650 0.000 4.546
S 10.409 0.000 0.844
```

Principal peaks in the range 15° ≤ 2θ ≤ 90°, sorted by position:
Position (°2θ), intensity
24.29, 63
30.49, 100
34.31, 90
38.13, 77
39.14, 81
43.79, 63



[4]
# CaCuHg
Calculated powder diffraction line list, λ = 1.5418 Å (Cu Kα). Input: a DFT-relaxed cell (PBE, Alexandria).

Structure:
```
3
Lattice="4.615 0.000 0.000 -2.308 3.997 0.000 0.000 0.000 3.775" Properties=species:S:1:pos:R:3 pbc="T T T"
Ca 0.000 0.000 0.000
Cu 2.308 1.332 1.887
Hg 0.000 2.665 1.887
```

Principal peaks in the range 15° ≤ 2θ ≤ 90°, sorted by position:
Position (°2θ), intensity
22.24, 60
23.57, 43
32.63, 100
39.03, 68
46.10, 46
63.70, 31